Record 1
For Sm3Er3Ni4, a cell relaxed with GGA-PBE gives the computed XRD peak list in this record (Cu Kα).

Largest 10 diffraction maxima, in order of rising 2θ, 2θ = 10–80°:
Position (°2θ), I (rel.)
26.11, 20.4
28.51, 20.4
33.18, 100.0
35.17, 86.7
35.39, 90.7
37.31, 48.0
37.62, 47.2
47.32, 31.4
61.75, 21.8
61.97, 21.7

Lattice parameters (Å, degrees): 3.842 7.591 7.591 89.24 90.00 90.00
Fractional coordinates of all 10 atoms:
1 Sm 0.000 0.000 0.000
2 Sm 0.500 0.344 0.848
3 Sm 0.500 0.848 0.344
4 Er 0.000 0.182 0.509
5 Er 0.000 0.509 0.182
6 Er 0.000 0.673 0.673
7 Ni 0.500 0.228 0.228
8 Ni 0.500 0.465 0.465
9 Ni 0.500 0.712 0.957
10 Ni 0.500 0.957 0.712

***

Record 2
For Nd2SmPb3, a cell relaxed with GGA-PBE gives the computed XRD peak list in this record (Cu Kα).

Largest 10 diffraction maxima, in order of rising 2θ, 2θ = 10–80°:
Position (°2θ), I (rel.)
31.53, 100.0
34.88, 19.2
35.55, 18.2
39.13, 14.0
50.66, 13.5
53.42, 11.5
60.46, 16.0
61.35, 15.3
65.82, 12.4
66.19, 12.2

Lattice parameters (Å, degrees): 8.119 8.119 9.208 90.00 90.00 143.76
Fractional coordinates of all 12 atoms:
1 Nd 0.000 0.000 0.000
2 Nd 0.000 0.000 0.500
3 Nd 0.333 0.667 0.000
4 Nd 0.667 0.333 0.000
5 Sm 0.333 0.667 0.500
6 Sm 0.667 0.333 0.500
7 Pb 0.167 0.833 0.252
8 Pb 0.167 0.833 0.748
9 Pb 0.500 0.500 0.252
10 Pb 0.500 0.500 0.748
11 Pb 0.833 0.167 0.252
12 Pb 0.833 0.167 0.748

***

Record 3
For Cs2KC, a cell relaxed with GGA-PBE gives the computed XRD peak list in this record (Cu Kα).

Largest 10 diffraction maxima, in order of rising 2θ, 2θ = 10–80°:
Position (°2θ), I (rel.)
10.86, 74.8
20.89, 100.0
21.83, 88.8
25.26, 29.2
27.56, 26.1
33.00, 41.7
36.02, 52.0
37.73, 22.3
42.51, 45.2
49.65, 29.0

Lattice parameters (Å, degrees): 9.974 9.974 9.974 60.00 60.00 60.00
Fractional coordinates of all 8 atoms:
1 Cs 0.000 0.000 0.000
2 Cs 0.000 0.000 0.500
3 Cs 0.000 0.500 0.000
4 Cs 0.500 0.000 0.000
5 K 0.375 0.375 0.375
6 K 0.625 0.625 0.625
7 C 0.125 0.125 0.125
8 C 0.875 0.875 0.875

***

Record 4
For Pr6Tl2Zn, a cell relaxed with GGA-PBE gives the computed XRD peak list in this record (Cu Kα).

Largest 10 diffraction maxima, in order of rising 2θ, 2θ = 10–80°:
Position (°2θ), I (rel.)
29.71, 53.4
30.24, 100.0
32.31, 64.8
33.80, 65.3
37.93, 29.6
47.08, 17.1
55.71, 37.0
56.66, 17.5
58.27, 15.2
59.20, 26.2

Lattice parameters (Å, degrees): 9.187 9.187 3.861 90.00 90.00 120.00
Fractional coordinates of all 9 atoms:
1 Pr 0.000 0.265 0.000
2 Pr 0.000 0.604 0.500
3 Pr 0.265 0.000 0.000
4 Pr 0.396 0.396 0.500
5 Pr 0.604 0.000 0.500
6 Pr 0.735 0.735 0.000
7 Tl 0.333 0.667 0.000
8 Tl 0.667 0.333 0.000
9 Zn 0.000 0.000 0.500

***

Record 5
For ErFe6Sn4Ge2, a cell relaxed with GGA-PBE gives the computed XRD peak list in this record (Cu Kα).

Largest 10 diffraction maxima, in order of rising 2θ, 2θ = 10–80°:
Position (°2θ), I (rel.)
33.96, 100.0
36.66, 85.6
39.42, 45.3
39.94, 85.2
41.46, 22.6
44.77, 47.2
46.49, 22.4
62.55, 37.2
71.49, 32.3
74.59, 35.6

Lattice parameters (Å, degrees): 5.279 5.279 8.713 90.00 90.00 120.00
Fractional coordinates of all 13 atoms:
1 Er 0.000 0.000 0.000
2 Fe 0.000 0.500 0.231
3 Fe 0.000 0.500 0.769
4 Fe 0.500 0.000 0.231
5 Fe 0.500 0.000 0.769
6 Fe 0.500 0.500 0.231
7 Fe 0.500 0.500 0.769
8 Sn 0.000 0.000 0.335
9 Sn 0.000 0.000 0.665
10 Sn 0.333 0.667 0.500
11 Sn 0.667 0.333 0.500
12 Ge 0.333 0.667 0.000
13 Ge 0.667 0.333 0.000

***

Record 6
For LiCeP2Pt7, a cell relaxed with GGA-PBE gives the computed XRD peak list in this record (Cu Kα).

Largest 10 diffraction maxima, in order of rising 2θ, 2θ = 10–80°:
Position (°2θ), I (rel.)
21.32, 28.4
31.52, 17.1
33.94, 100.0
37.66, 60.4
42.40, 25.8
43.94, 56.6
57.99, 15.8
63.88, 18.8
74.34, 21.4
75.85, 17.4

Lattice parameters (Å, degrees): 12.841 12.841 12.841 161.53 161.53 26.24
Fractional coordinates of all 11 atoms:
1 Li 0.000 0.000 0.000
2 Ce 0.250 0.750 0.500
3 P 0.613 0.113 0.500
4 P 0.887 0.387 0.500
5 Pt 0.162 0.162 0.000
6 Pt 0.337 0.337 0.000
7 Pt 0.526 0.026 0.500
8 Pt 0.663 0.663 0.000
9 Pt 0.750 0.250 0.500
10 Pt 0.838 0.838 0.000
11 Pt 0.974 0.474 0.500